(1)
Starting from a GGA-PBE-relaxed structure, the X-ray diffraction stick pattern of TlHgSe2 was computed for Cu Kα X-rays.
Peak positions follow from Bragg's law for the DFT cell and can differ from measured ones.

a b c (Å): 4.5561 4.5561 7.6096
angles (deg): 90.00 90.00 120.00
Sites, in units of the cell vectors:
Tl (0.0000, 0.0000, 0.0000)
Hg (0.6667, 0.3333, 0.4915)
Se (0.0000, 0.0000, 0.3846)
Se (0.6667, 0.3333, 0.8534)

Main lines, low angle first (2θ from 10° to 90°):
two_theta  intensity
22.53  74
23.38  52
25.43  100
39.56  69
42.36  75
46.46  51

(2)
Starting from a GGA-PBE-relaxed structure, the X-ray diffraction stick pattern of Tl6Hg2Se was computed for Cu Kα X-rays.
Peak positions follow from Bragg's law for the DFT cell and can differ from measured ones.

a b c (Å): 4.0589 9.0505 9.0505
angles (deg): 123.99 90.00 90.00
Sites, in units of the cell vectors:
Tl (0.0000, 0.0000, 0.0000)
Tl (0.0000, 0.4942, 0.7720)
Tl (0.0000, 0.7720, 0.4942)
Tl (0.5000, 0.1488, 0.7406)
Tl (0.5000, 0.3615, 0.3615)
Tl (0.5000, 0.7406, 0.1488)
Hg (0.0000, 0.0884, 0.4053)
Hg (0.0000, 0.4053, 0.0884)
Se (0.5000, 0.7257, 0.7257)

Main lines, low angle first (2θ from 10° to 90°):
two_theta  intensity
29.60  100
30.46  51
30.72  39
31.42  41
32.50  53
35.90  39